Theoretical powder X-ray diffraction pattern of Zn2AgPbF8 for copper Kα, from a DFT-relaxed cell (GGA-PBE, Alexandria).

```
data_Zn2AgPbF8
_chemical_formula_sum 'Zn4 Ag2 Pb2 F16'
_cell_length_a 7.4182
_cell_length_b 7.4182
_cell_length_c 7.1463
_cell_angle_alpha 90.00
_cell_angle_beta 90.00
_cell_angle_gamma 90.00
_space_group_name_H-M_alt 'I -4 m 2'
_space_group_IT_number 119
_space_group_name_Hall 'I -4 -2'
loop_
_atom_site_label
_atom_site_type_symbol
_atom_site_fract_x
_atom_site_fract_y
_atom_site_fract_z
_atom_site_occupancy
Zn1 Zn 0.0000 0.0000 0.0000 1
Zn2 Zn 0.0000 0.5000 0.2500 1
Ag1 Ag 0.0000 0.0000 0.5000 1
Pb1 Pb 0.0000 0.5000 0.7500 1
F1 F 0.0000 0.1879 0.8165 1
F2 F 0.0000 0.3147 0.4424 1
```

Main lines, by intensity (2θ = 10–90°):
23.99°, d 3.709, I 100, hkl 2 0 0
30.27°, d 2.953, I 82, hkl 1 1 2
46.30°, d 1.961, I 70, hkl 3 1 2
17.23°, d 5.147, I 35, hkl 1 0 1
58.79°, d 1.571, I 21, hkl 3 3 2
34.19°, d 2.623, I 21, hkl 2 2 0
49.13°, d 1.855, I 17, hkl 4 0 0
57.23°, d 1.610, I 16, hkl 2 0 4
55.39°, d 1.659, I 14, hkl 4 2 0
69.80°, d 1.347, I 14, hkl 5 1 2

***

Theoretical powder X-ray diffraction pattern of ZrAg2PbF8 for copper Kα, from a DFT-relaxed cell (GGA-PBE, Alexandria).

```
data_ZrAg2PbF8
_chemical_formula_sum 'Zr1 Ag2 Pb1 F8'
_cell_length_a 3.8828
_cell_length_b 8.0649
_cell_length_c 5.9920
_cell_angle_alpha 90.00
_cell_angle_beta 90.07
_cell_angle_gamma 90.00
_space_group_name_H-M_alt 'P 1 2/m 1'
_space_group_IT_number 10
_space_group_name_Hall '-P 2y'
loop_
_atom_site_label
_atom_site_type_symbol
_atom_site_fract_x
_atom_site_fract_y
_atom_site_fract_z
_atom_site_occupancy
Zr1 Zr 0.0000 0.0000 0.0000 1
Ag1 Ag 0.5000 0.2557 0.5000 1
Pb1 Pb 0.0000 0.5000 0.0000 1
F1 F 0.9999 0.2050 0.2152 1
F2 F 0.4995 0.5000 0.7459 1
F3 F 0.4999 0.0000 0.1940 1
```

Main lines, by intensity (2θ = 10–90°):
26.65°, d 3.345, I 100, hkl 0 2 1
27.37°, d 3.258, I 96, hkl 1 0 1
44.30°, d 2.045, I 77, hkl 1 2 2
32.00°, d 2.797, I 32, hkl 1 2 0
53.44°, d 1.715, I 28, hkl 1 4 1
54.66°, d 1.679, I 27, hkl 2 2 -1
29.82°, d 2.996, I 20, hkl 0 0 2
46.80°, d 1.941, I 20, hkl 2 0 0
44.96°, d 2.016, I 17, hkl 0 4 0
51.03°, d 1.790, I 17, hkl 0 2 3

***

Theoretical powder X-ray diffraction pattern of Ag3Pd2F8 for copper Kα, from a DFT-relaxed cell (GGA-PBE, Alexandria).

```
data_Ag3Pd2F8
_chemical_formula_sum 'Ag12 Pd8 F32'
_cell_length_a 6.9791
_cell_length_b 12.6127
_cell_length_c 9.7519
_cell_angle_alpha 90.00
_cell_angle_beta 90.00
_cell_angle_gamma 90.00
_space_group_name_H-M_alt 'C m c e'
_space_group_IT_number 64
_space_group_name_Hall '-C 2ac 2'
loop_
_atom_site_label
_atom_site_type_symbol
_atom_site_fract_x
_atom_site_fract_y
_atom_site_fract_z
_atom_site_occupancy
Ag1 Ag 0.0000 0.0000 0.0000 1
Ag2 Ag 0.2500 0.1800 0.2500 1
Pd1 Pd 0.0000 0.0710 0.5912 1
F1 F 0.0000 0.0354 0.2410 1
F2 F 0.0000 0.1960 0.7355 1
F3 F 0.2273 0.1275 0.4741 1
```

Main lines, by intensity (2θ = 10–90°):
23.06°, d 3.857, I 100, hkl 0 2 2
29.25°, d 3.053, I 95, hkl 2 2 0
30.68°, d 2.914, I 85, hkl 2 2 1
30.91°, d 2.893, I 81, hkl 0 2 3
47.91°, d 1.899, I 71, hkl 2 4 3
29.78°, d 3.000, I 40, hkl 0 4 1
31.53°, d 2.838, I 36, hkl 2 0 2
57.97°, d 1.591, I 32, hkl 0 6 4
39.08°, d 2.305, I 28, hkl 1 5 1
52.44°, d 1.745, I 26, hkl 4 0 0

***

Theoretical powder X-ray diffraction pattern of Ag2Pd3F6 for copper Kα, from a DFT-relaxed cell (GGA-PBE, Alexandria).

```
data_Ag2Pd3F6
_chemical_formula_sum 'Ag8 Pd12 F24'
_cell_length_a 8.7425
_cell_length_b 5.0573
_cell_length_c 14.9082
_cell_angle_alpha 90.00
_cell_angle_beta 101.34
_cell_angle_gamma 90.00
_space_group_name_H-M_alt 'C 1 2/c 1'
_space_group_IT_number 15
_space_group_name_Hall '-C 2yc'
loop_
_atom_site_label
_atom_site_type_symbol
_atom_site_fract_x
_atom_site_fract_y
_atom_site_fract_z
_atom_site_occupancy
Ag1 Ag 0.0832 0.2503 0.9997 1
Pd1 Pd 0.0000 0.0792 0.2500 1
Pd2 Pd 0.1669 0.4210 0.7503 1
F1 F 0.0465 0.0810 0.3854 1
F2 F 0.1230 0.4192 0.6149 1
F3 F 0.2120 0.4238 0.8857 1
```

Main lines, by intensity (2θ = 10–90°):
37.67°, d 2.388, I 100, hkl 0 2 2
36.08°, d 2.489, I 95, hkl 3 1 0
24.36°, d 3.654, I 68, hkl 0 0 4
52.16°, d 1.754, I 44, hkl 0 2 6
57.24°, d 1.609, I 27, hkl 3 1 6
40.21°, d 2.243, I 23, hkl 3 1 2
49.91°, d 1.827, I 21, hkl 0 0 8
85.09°, d 1.140, I 20, hkl 6 0 -10
63.78°, d 1.459, I 20, hkl 3 3 -1
47.57°, d 1.911, I 20, hkl 3 1 4